No. 1
For K3PO6, DFT lattice parameters and positions (GGA-PBE) gives the computed powder diffraction line list in this record (copper Kα).
Kinematic intensities with the Lorentz-polarization factor, no thermal factor.

Atomic structure:
Cell lengths 6.2514, 6.2514, 10.0355 Å; angles 90.00, 90.00, 120.00 degrees
Space group P6_322 (No. 182)
Inequivalent atoms, fractional coordinates:
1 K 0.0000 0.0000 0.0000 (multiplicity 2)
2 K 0.3333 0.6667 0.0892 (multiplicity 4)
3 P 0.3333 0.6667 0.7500 (multiplicity 2)
4 O 0.1246 0.4377 0.6553 (multiplicity 12)

Main lines, by angle (10 to 80 degrees two-theta):
16.37 deg, 5.414 Å, intensity 32
18.62 deg, 4.765 Å, intensity 23
24.18 deg, 3.680 Å, intensity 37
28.56 deg, 3.126 Å, intensity 100
31.44 deg, 2.846 Å, intensity 65
33.79 deg, 2.653 Å, intensity 19
42.98 deg, 2.104 Å, intensity 34
48.02 deg, 1.895 Å, intensity 18
50.58 deg, 1.805 Å, intensity 21
52.42 deg, 1.746 Å, intensity 38


No. 2
For La15Cd4Pb, DFT lattice parameters and positions (GGA-PBE) gives the computed powder diffraction line list in this record (copper Kα).
Kinematic intensities with the Lorentz-polarization factor, no thermal factor.

Atomic structure:
Cell lengths 5.0819, 5.0819, 25.2659 Å; angles 90.00, 90.00, 90.00 degrees
Space group P4/mmm (No. 123)
Inequivalent atoms, fractional coordinates:
1 La 0.0000 0.0000 0.0000 (multiplicity 1)
2 La 0.0000 0.0000 0.2002 (multiplicity 2)
3 La 0.0000 0.0000 0.4000 (multiplicity 2)
4 La 0.0000 0.5000 0.0997 (multiplicity 4)
5 La 0.0000 0.5000 0.2998 (multiplicity 4)
6 La 0.0000 0.5000 0.5000 (multiplicity 2)
7 Cd 0.5000 0.5000 0.2003 (multiplicity 2)
8 Cd 0.5000 0.5000 0.4001 (multiplicity 2)
9 Pb 0.5000 0.5000 0.0000 (multiplicity 1)

Main lines, by angle (10 to 80 degrees two-theta):
30.53 deg, 2.928 Å, intensity 100
35.32 deg, 2.541 Å, intensity 34
35.53 deg, 2.527 Å, intensity 17
50.82 deg, 1.797 Å, intensity 12
50.97 deg, 1.792 Å, intensity 24
60.45 deg, 1.531 Å, intensity 28
60.73 deg, 1.525 Å, intensity 14
63.54 deg, 1.464 Å, intensity 12
74.72 deg, 1.270 Å, intensity 4
75.21 deg, 1.263 Å, intensity 2


No. 3
For Li2GeAu2, DFT lattice parameters and positions (GGA-PBE) gives the computed powder diffraction line list in this record (copper Kα).
Kinematic intensities with the Lorentz-polarization factor, no thermal factor.

Atomic structure:
Cell lengths 4.4285, 13.4520, 5.4746 Å; angles 90.00, 90.00, 90.00 degrees
Space group Cmc2_1 (No. 36)
Inequivalent atoms, fractional coordinates:
1 Li 0.0000 0.0211 0.0000 (multiplicity 4)
2 Li 0.0000 0.2182 0.9457 (multiplicity 4)
3 Ge 0.0000 0.4099 0.7429 (multiplicity 4)
4 Au 0.0000 0.1665 0.4269 (multiplicity 4)
5 Au 0.0000 0.3857 0.2681 (multiplicity 4)

Main lines, by angle (10 to 80 degrees two-theta):
20.92 deg, 4.246 Å, intensity 30
26.50 deg, 3.363 Å, intensity 52
26.73 deg, 3.336 Å, intensity 100
32.75 deg, 2.735 Å, intensity 26
39.23 deg, 2.297 Å, intensity 98
40.75 deg, 2.214 Å, intensity 36
42.63 deg, 2.121 Å, intensity 47
43.81 deg, 2.066 Å, intensity 37
51.92 deg, 1.761 Å, intensity 29
65.94 deg, 1.417 Å, intensity 21